MoS2: computed powder diffraction line list (Cu Kα (λ = 1.5418 Å)), based on a GGA-PBE-relaxed structure.

Most intense lines, 10 to 90 degrees two-theta, by angle:
2θ/deg	d (Å)	I_rel
12.66	6.991	100
32.38	2.765	11
33.02	2.713	9
34.89	2.571	36
41.65	2.169	42
51.27	1.782	17
57.75	1.596	12
59.38	1.556	10
73.69	1.286	7
81.69	1.179	8

Atomic structure:
abc: 3.1929 3.1929 13.9828
angles: 90.00 90.00 120.00
Sites, in units of the cell vectors:
Mo 0.0000 0.0000 0.2500
Mo 0.0000 0.0000 0.7500
S 0.3333 0.6667 0.1380
S 0.3333 0.6667 0.3620
S 0.6667 0.3333 0.6380
S 0.6667 0.3333 0.8620

VCo3: computed powder diffraction line list (Cu Kα (λ = 1.5418 Å)), based on a GGA-PBE-relaxed structure.

Most intense lines, 10 to 90 degrees two-theta, by angle:
2θ/deg	d (Å)	I_rel
20.55	4.323	1
30.41	2.940	1
41.79	2.161	25
45.23	2.005	27
47.81	1.903	100
61.26	1.513	1
63.27	1.470	13
76.31	1.248	15
85.41	1.137	16

Atomic structure:
abc: 4.9917 4.9917 4.0093
angles: 90.00 90.00 120.00
Sites, in units of the cell vectors:
V 0.3333 0.6667 0.2500
V 0.6667 0.3333 0.7500
Co 0.1632 0.3264 0.7500
Co 0.1632 0.8368 0.7500
Co 0.3264 0.1632 0.2500
Co 0.6736 0.8368 0.7500
Co 0.8368 0.1632 0.2500
Co 0.8368 0.6736 0.2500

Ba3In2P4O16: computed powder diffraction line list (Cu Kα (λ = 1.5418 Å)), based on a GGA-PBE-relaxed structure.

Most intense lines, 10 to 90 degrees two-theta, by angle:
2θ/deg	d (Å)	I_rel
21.22	4.186	36
21.63	4.108	30
24.69	3.606	24
26.48	3.366	28
26.81	3.325	100
29.12	3.067	55
29.37	3.041	90
30.37	2.943	70
42.99	2.104	38
44.72	2.027	44

Atomic structure:
abc: 9.0754 9.8021 9.3020
angles: 90.00 115.19 90.00
Sites, in units of the cell vectors:
Ba 0.0000 0.0000 0.0000
Ba 0.0000 0.5000 0.5000
Ba 0.2724 0.1765 0.4460
Ba 0.2724 0.3235 0.9460
Ba 0.7276 0.6765 0.0540
Ba 0.7276 0.8235 0.5540
In 0.2580 0.6269 0.2585
In 0.2580 0.8731 0.7585
In 0.7420 0.1269 0.2415
In 0.7420 0.3731 0.7415
P 0.0296 0.6385 0.8548
P 0.0296 0.8615 0.3548
P 0.4158 0.5862 0.6847
P 0.4158 0.9138 0.1847
P 0.5842 0.0862 0.8153
P 0.5842 0.4138 0.3153
P 0.9704 0.1385 0.6452
P 0.9704 0.3615 0.1452
O 0.0581 0.0072 0.7384
O 0.0581 0.4928 0.2384
O 0.0785 0.7127 0.7323
O 0.0785 0.7873 0.2323
O 0.0875 0.2312 0.6096
O 0.0875 0.2688 0.1096
O 0.1800 0.5898 0.0044
O 0.1800 0.9102 0.5044
O 0.3075 0.6211 0.5087
O 0.3075 0.8789 0.0087
O 0.3352 0.0319 0.2344
O 0.3352 0.4681 0.7344
O 0.4048 0.0549 0.7846
O 0.4048 0.4451 0.2846
O 0.4341 0.7165 0.7914
O 0.4341 0.7835 0.2914
O 0.5659 0.2165 0.7086
O 0.5659 0.2835 0.2086
O 0.5952 0.5549 0.7154
O 0.5952 0.9451 0.2154
O 0.6648 0.5319 0.2656
O 0.6648 0.9681 0.7656
O 0.6925 0.1211 0.9913
O 0.6925 0.3789 0.4913
O 0.8200 0.0898 0.4956
O 0.8200 0.4102 0.9956
O 0.9125 0.7312 0.8904
O 0.9125 0.7688 0.3904
O 0.9215 0.2127 0.7677
O 0.9215 0.2873 0.2677
O 0.9419 0.5072 0.7616
O 0.9419 0.9928 0.2616

Rb2AgI3: computed powder diffraction line list (Cu Kα (λ = 1.5418 Å)), based on a GGA-PBE-relaxed structure.

Most intense lines, 10 to 90 degrees two-theta, by angle:
2θ/deg	d (Å)	I_rel
12.07	7.331	42
23.39	3.803	43
24.95	3.568	100
26.09	3.415	99
26.39	3.377	62
27.61	3.230	42
29.54	3.024	58
36.02	2.493	72
41.13	2.194	42
43.42	2.084	46

Atomic structure:
abc: 10.5536 4.9868 20.3840
angles: 90.00 90.00 90.00
Sites, in units of the cell vectors:
Rb 0.0792 0.2500 0.2126
Rb 0.2447 0.7500 0.4582
Rb 0.2553 0.2500 0.9582
Rb 0.4208 0.7500 0.7126
Rb 0.5792 0.2500 0.2874
Rb 0.7447 0.7500 0.0418
Rb 0.7553 0.2500 0.5418
Rb 0.9208 0.7500 0.7874
Ag 0.1377 0.2500 0.6359
Ag 0.3623 0.7500 0.1359
Ag 0.6377 0.2500 0.8641
Ag 0.8623 0.7500 0.3641
I 0.0056 0.7500 0.6030
I 0.1225 0.7500 0.0707
I 0.1850 0.2500 0.7754
I 0.3150 0.7500 0.2754
I 0.3775 0.2500 0.5707
I 0.4944 0.2500 0.1030
I 0.5056 0.7500 0.8970
I 0.6225 0.7500 0.4293
I 0.6850 0.2500 0.7246
I 0.8150 0.7500 0.2246
I 0.8775 0.2500 0.9293
I 0.9944 0.2500 0.3970